No. 1
Starting from the PBE geometry in Alexandria, the XRD peak list of Pr4MgIn15 was calculated for copper Kα.

Structure:
Lattice parameters (Å, degrees): 4.7350 4.7350 23.4101 90.00 90.00 90.00
Positions (direct):
Pr1 0.0000 0.0000 0.1016
Pr2 0.0000 0.0000 0.3036
Pr3 0.0000 0.0000 0.6964
Pr4 0.0000 0.0000 0.8984
Mg1 0.0000 0.0000 0.5000
In1 0.0000 0.5000 0.0000
In2 0.0000 0.5000 0.2025
In3 0.0000 0.5000 0.4068
In4 0.0000 0.5000 0.5932
In5 0.0000 0.5000 0.7975
In6 0.5000 0.0000 0.0000
In7 0.5000 0.0000 0.2025
In8 0.5000 0.0000 0.4068
In9 0.5000 0.0000 0.5932
In10 0.5000 0.0000 0.7975
In11 0.5000 0.5000 0.1013
In12 0.5000 0.5000 0.2999
In13 0.5000 0.5000 0.5000
In14 0.5000 0.5000 0.7001
In15 0.5000 0.5000 0.8987

Top 8 peaks for 2θ from 5° to 70°, in order of rising 2θ:
d (Å), intensity
2.723, 100
2.367, 34
2.341, 16
1.674, 11
1.665, 21
1.426, 26
1.415, 12
1.362, 11

---

No. 2
Starting from the PBE geometry in Alexandria, the XRD peak list of Ho2Sn3Rh4 was calculated for copper Kα.

Structure:
Lattice parameters (Å, degrees): 8.6592 8.6592 7.2984 90.00 90.00 139.51
Positions (direct):
Ho1 0.1016 0.8984 0.9176
Ho2 0.3984 0.6016 0.4176
Ho3 0.6016 0.3984 0.5824
Ho4 0.8984 0.1016 0.0824
Sn1 0.0000 0.0000 0.5000
Sn2 0.0147 0.4853 0.7500
Sn3 0.4853 0.0147 0.2500
Sn4 0.5000 0.5000 0.0000
Sn5 0.5147 0.9853 0.7500
Sn6 0.9853 0.5147 0.2500
Rh1 0.1686 0.8314 0.5283
Rh2 0.1796 0.3204 0.7500
Rh3 0.3204 0.1796 0.2500
Rh4 0.3314 0.6686 0.0283
Rh5 0.6686 0.3314 0.9717
Rh6 0.6796 0.8204 0.7500
Rh7 0.8204 0.6796 0.2500
Rh8 0.8314 0.1686 0.4717

Top 8 peaks for 2θ from 5° to 70°, in order of rising 2θ:
d (Å), intensity
2.712, 24
2.701, 25
2.660, 90
2.623, 50
2.331, 43
2.316, 100
2.175, 32
1.351, 26